Diffraction record for MnVSi. The PXRD pattern is calculated, not measured: it uses a PBE-relaxed structure and Cu Ka.
No peak broadening, texture or thermal motion is included.

Largest 8 diffraction maxima, by intensity, 15° ≤ 2θ ≤ 90°:
45.01°, d = 2.014 Å, I = 100, (1 0 3)
43.98°, d = 2.059 Å, I = 54, (1 1 0)
81.59°, d = 1.180 Å, I = 31, (2 1 3)
63.94°, d = 1.456 Å, I = 16, (2 0 0)
83.78°, d = 1.155 Å, I = 14, (1 1 6)
21.24°, d = 4.183 Å, I = 11, (0 0 2)
32.56°, d = 2.750 Å, I = 7, (1 0 1)
67.13°, d = 1.394 Å, I = 7, (0 0 6)

Structural model:
Unit cell a=2.912 b=2.912 c=8.366 alpha=90.00 beta=90.00 gamma=90.00
Fractional positions:
Mn 0.000 0.000 0.000
Mn 0.500 0.500 0.500
V 0.000 0.000 0.657
V 0.500 0.500 0.157
Si 0.000 0.000 0.338
Si 0.500 0.500 0.838